[1]
The following is a simulated X-ray powder pattern of MgV3CoSn2P6O24. It was derived from a DFT-relaxed cell (PBE+U, the Materials Project), using Cu Kα X-rays.
Kinematic intensities with the Lorentz-polarization factor, no thermal factor.

Principal peaks in the range 2θ = 10–90°, in order of falling intensity:
hkl 2 -1 0, 4.246 Å, 2θ = 20.92°, I = 100
hkl -1 2 1, 2.921 Å, 2θ = 30.61°, I = 57
hkl 1 -2 0, 3.779 Å, 2θ = 23.54°, I = 49
hkl 1 1 -1, 4.278 Å, 2θ = 20.76°, I = 49
hkl 1 1 -2, 3.744 Å, 2θ = 23.77°, I = 42
hkl 2 0 0, 3.520 Å, 2θ = 25.30°, I = 38
hkl 1 1 -3, 2.881 Å, 2θ = 31.04°, I = 35
hkl 2 -1 2, 2.875 Å, 2θ = 31.11°, I = 34
hkl 1 -2 2, 3.716 Å, 2θ = 23.95°, I = 31
hkl 1 -2 3, 2.862 Å, 2θ = 31.25°, I = 27

Cell and atoms:
a b c (Å): 8.4809 8.5122 9.2235
angles (deg): 116.50 90.59 119.53
Space group P1 (No. 1)
Asymmetric unit:
Mg: 0.0000 0.0000 0.0000 x1
V: 0.0329 0.8319 0.2738 x1
V: 0.2442 0.2549 0.8733 x1
V: 0.7196 0.2359 0.3703 x1
Co: 0.5529 0.8750 0.8019 x1
Sn: 0.4128 0.5812 0.4007 x1
Sn: 0.8661 0.4490 0.7734 x1
P: 0.1295 0.3152 0.5660 x1
P: 0.3445 0.0396 0.0782 x1
P: 0.4156 0.0317 0.5684 x1
P: 0.6439 0.7654 0.0864 x1
P: 0.8530 0.7511 0.5881 x1
P: 0.9191 0.3362 0.0745 x1
O: 0.0063 0.5658 0.1184 x1
O: 0.0120 0.9309 0.7596 x1
O: 0.0733 0.2839 0.0419 x1
O: 0.0914 0.1226 0.4011 x1
O: 0.1162 0.2910 0.7224 x1
O: 0.1392 0.9149 0.0994 x1
O: 0.2704 0.9253 0.3976 x1
O: 0.3193 0.1762 0.0239 x1
O: 0.3253 0.5113 0.6010 x1
O: 0.3780 0.8822 0.9449 x1
O: 0.3940 0.1832 0.7198 x1
O: 0.4054 0.8557 0.5896 x1
O: 0.4536 0.5545 0.0059 x1
O: 0.4923 0.1903 0.2548 x1
O: 0.6166 0.1644 0.5519 x1
O: 0.6389 0.9332 0.2413 x1
O: 0.6814 0.7769 0.6008 x1
O: 0.7165 0.8374 0.9575 x1
O: 0.7524 0.1913 0.9090 x1
O: 0.7914 0.5370 0.5691 x1
O: 0.7987 0.7356 0.1447 x1
O: 0.8679 0.3126 0.2252 x1
O: 0.9153 0.7594 0.4356 x1
O: 0.9693 0.3518 0.5428 x1

***

[2]
The following is a simulated X-ray powder pattern of Li3AlCrO5. It was derived from a DFT-relaxed cell (PBE+U, the Materials Project), using Cu Kα X-rays.
Kinematic intensities with the Lorentz-polarization factor, no thermal factor.

Principal peaks in the range 2θ = 10–90°, in order of falling intensity:
hkl 1 2 0, 4.495 Å, 2θ = 19.75°, I = 100
hkl 0 3 1, 3.642 Å, 2θ = 24.44°, I = 90
hkl 1 5 0, 2.766 Å, 2θ = 32.37°, I = 65
hkl 0 0 2, 2.482 Å, 2θ = 36.20°, I = 56
hkl 1 5 1, 2.417 Å, 2θ = 37.20°, I = 43
hkl 3 5 0, 1.576 Å, 2θ = 58.59°, I = 37
hkl 1 2 1, 3.332 Å, 2θ = 26.76°, I = 34
hkl 2 0 0, 2.711 Å, 2θ = 33.04°, I = 33
hkl 1 1 1, 3.570 Å, 2θ = 24.94°, I = 30
hkl 1 5 3, 1.420 Å, 2θ = 65.77°, I = 27

Cell and atoms:
a b c (Å): 5.4221 16.0781 4.9634
angles (deg): 90.00 90.00 90.00
Space group Pna2_1 (No. 33)
Asymmetric unit:
Li: 0.1624 0.0006 0.0000 x4
Li: 0.1630 0.2004 0.9887 x4
Li: 0.1725 0.6011 0.9969 x4
Al: 0.1719 0.7980 0.9881 x4
Cr: 0.1604 0.4027 0.9973 x4
O: 0.1430 0.2112 0.5840 x4
O: 0.1500 0.6020 0.5951 x4
O: 0.1821 0.8071 0.6270 x4
O: 0.1881 0.9933 0.6009 x4
O: 0.1905 0.3897 0.6242 x4

***

[3]
The following is a simulated X-ray powder pattern of LiEuMo2O8. It was derived from a DFT-relaxed cell (PBE+U, the Materials Project), using Cu Kα X-rays.
Kinematic intensities with the Lorentz-polarization factor, no thermal factor.

Principal peaks in the range 2θ = 10–90°, in order of falling intensity:
hkl 1 1 1, 3.182 Å, 2θ = 28.04°, I = 100
hkl 1 1 -3, 3.038 Å, 2θ = 29.40°, I = 84
hkl 0 1 1, 5.194 Å, 2θ = 17.07°, I = 39
hkl 2 0 2, 1.872 Å, 2θ = 48.65°, I = 38
hkl 1 0 0, 4.719 Å, 2θ = 18.81°, I = 35
hkl 1 0 -2, 4.487 Å, 2θ = 19.79°, I = 35
hkl 0 1 2, 3.897 Å, 2θ = 22.82°, I = 34
hkl 0 1 3, 2.964 Å, 2θ = 30.15°, I = 29
hkl 0 2 0, 3.017 Å, 2θ = 29.61°, I = 23
hkl 2 0 -2, 2.575 Å, 2θ = 34.84°, I = 21

Cell and atoms:
a b c (Å): 5.1605 6.0334 11.1645
angles (deg): 90.00 113.88 90.00
Space group P2/c (No. 13)
Asymmetric unit:
Li: 0.0000 0.1969 0.2500 x2
Eu: 0.5000 0.2002 0.7500 x2
Mo: 0.2678 0.3215 0.0204 x4
O: 0.1449 0.3998 0.5931 x4
O: 0.2251 0.1276 0.1332 x4
O: 0.2730 0.1413 0.8905 x4
O: 0.3589 0.4062 0.3870 x4

***

[4]
The following is a simulated X-ray powder pattern of Li6Fe5WO12. It was derived from a DFT-relaxed cell (PBE+U, the Materials Project), using Cu Kα X-rays.
Kinematic intensities with the Lorentz-polarization factor, no thermal factor.

Principal peaks in the range 2θ = 10–90°, in order of falling intensity:
hkl 0 0 2, 5.087 Å, 2θ = 17.43°, I = 100
hkl 1 3 -1, 2.567 Å, 2θ = 34.95°, I = 25
hkl 1 3 -3, 2.146 Å, 2θ = 42.10°, I = 24
hkl 1 3 3, 1.989 Å, 2θ = 45.60°, I = 24
hkl 1 3 1, 2.473 Å, 2θ = 36.33°, I = 22
hkl 1 3 -5, 1.667 Å, 2θ = 55.09°, I = 14
hkl 2 0 -2, 2.443 Å, 2θ = 36.78°, I = 12
hkl 2 0 0, 2.560 Å, 2θ = 35.05°, I = 12
hkl 2 0 2, 2.157 Å, 2θ = 41.88°, I = 12
hkl 3 3 -1, 1.499 Å, 2θ = 61.90°, I = 12

Cell and atoms:
a b c (Å): 5.1825 9.0522 10.2971
angles (deg): 90.00 98.88 90.00
Space group Cm (No. 8)
Asymmetric unit:
Li: 0.0000 0.0000 0.0000 x2
Li: 0.0006 0.3254 0.0000 x4
Li: 0.2364 0.3251 0.5100 x4
Li: 0.2377 0.0000 0.5043 x2
Fe: 0.1181 0.0000 0.2534 x2
Fe: 0.1185 0.3336 0.2543 x4
Fe: 0.1242 0.1678 0.7538 x4
W: 0.1066 0.5000 0.7549 x2
O: 0.2473 0.1675 0.1412 x4
O: 0.2502 0.5000 0.1438 x2
O: 0.3012 0.3373 0.8704 x4
O: 0.3465 0.0000 0.8747 x2
O: 0.4018 0.5000 0.6469 x2
O: 0.4285 0.1577 0.6316 x4
O: 0.4870 0.0000 0.3637 x2
O: 0.4888 0.3331 0.3669 x4

***

[5]
The following is a simulated X-ray powder pattern of Li4Fe2Ni3SnP6O24. It was derived from a DFT-relaxed cell (PBE+U, the Materials Project), using Cu Kα X-rays.
Kinematic intensities with the Lorentz-polarization factor, no thermal factor.

Principal peaks in the range 2θ = 10–90°, in order of falling intensity:
hkl 0 1 -1, 4.450 Å, 2θ = 19.95°, I = 100
hkl -2 1 1, 2.569 Å, 2θ = 34.92°, I = 57
hkl 1 3 2, 2.736 Å, 2θ = 32.73°, I = 32
hkl 0 2 1, 3.761 Å, 2θ = 23.66°, I = 27
hkl 1 0 2, 3.735 Å, 2θ = 23.82°, I = 26
hkl 3 1 2, 2.688 Å, 2θ = 33.34°, I = 26
hkl 2 1 0, 3.697 Å, 2θ = 24.07°, I = 26
hkl 2 1 -3, 1.680 Å, 2θ = 54.62°, I = 17
hkl 1 2 1, 4.294 Å, 2θ = 20.69°, I = 17
hkl 1 -3 2, 1.684 Å, 2θ = 54.50°, I = 16

Cell and atoms:
a b c (Å): 8.4663 8.6034 8.6061
angles (deg): 62.38 62.76 62.84
Space group P1 (No. 1)
Asymmetric unit:
Li: 0.0000 0.0000 0.0000 x1
Li: 0.1031 0.9501 0.4884 x1
Li: 0.2107 0.4554 0.3390 x1
Li: 0.5494 0.6618 0.7960 x1
Fe: 0.3606 0.8049 0.1349 x1
Fe: 0.8331 0.3024 0.6339 x1
Ni: 0.2019 0.6523 0.9902 x1
Ni: 0.4922 0.9509 0.2836 x1
Ni: 0.7056 0.1560 0.4895 x1
Sn: 0.9951 0.4514 0.7906 x1
P: 0.1023 0.2493 0.1957 x1
P: 0.2955 0.0524 0.6815 x1
P: 0.4079 0.5558 0.5844 x1
P: 0.5979 0.3484 0.0966 x1
P: 0.7919 0.8602 0.8935 x1
P: 0.9039 0.7618 0.3903 x1
O: 0.0372 0.2845 0.0358 x1
O: 0.0899 0.2049 0.7234 x1
O: 0.0984 0.7362 0.2299 x1
O: 0.1641 0.4077 0.1605 x1
O: 0.2470 0.4839 0.6264 x1
O: 0.2500 0.0551 0.2118 x1
O: 0.2844 0.8940 0.8761 x1
O: 0.2994 0.9976 0.5342 x1
O: 0.3734 0.6149 0.7441 x1
O: 0.3985 0.7187 0.4025 x1
O: 0.4408 0.5450 0.0759 x1
O: 0.4544 0.1190 0.6299 x1
O: 0.5378 0.1953 0.1234 x1
O: 0.5974 0.4025 0.5623 x1
O: 0.5988 0.8755 0.0420 x1
O: 0.6740 0.3148 0.2407 x1
O: 0.7375 0.8067 0.3380 x1
O: 0.7467 0.3855 0.8872 x1
O: 0.7947 0.0407 0.7263 x1
O: 0.8269 0.6978 0.8318 x1
O: 0.8946 0.9018 0.4583 x1
O: 0.9292 0.5559 0.5409 x1
O: 0.9497 0.2262 0.3885 x1
O: 0.9501 0.8196 0.9622 x1

***

[6]
The following is a simulated X-ray powder pattern of Sr4CaCr5O15. It was derived from a DFT-relaxed cell (PBE+U, the Materials Project), using Cu Kα X-rays.
Kinematic intensities with the Lorentz-polarization factor, no thermal factor.

Principal peaks in the range 2θ = 10–90°, in order of falling intensity:
hkl 1 1 0, 2.738 Å, 2θ = 32.71°, I = 100
hkl 0 2 10, 1.936 Å, 2θ = 46.94°, I = 41
hkl 3 0 0, 1.581 Å, 2θ = 58.36°, I = 27
hkl 1 3 10, 1.224 Å, 2θ = 78.05°, I = 16
hkl 2 0 5, 2.235 Å, 2θ = 40.35°, I = 15
hkl 2 2 0, 1.370 Å, 2θ = 68.49°, I = 11
hkl 2 0 20, 1.368 Å, 2θ = 68.61°, I = 11
hkl 0 1 20, 1.579 Å, 2θ = 58.46°, I = 9
hkl 4 0 10, 1.118 Å, 2θ = 87.17°, I = 6
hkl 2 2 15, 1.168 Å, 2θ = 82.63°, I = 3

Cell and atoms:
a b c (Å): 5.4795 5.4795 33.4794
angles (deg): 90.00 90.00 120.00
Space group R-3m (No. 166, hexagonal axes)
Asymmetric unit:
Sr: 0.0000 0.0000 0.1004 x6
Sr: 0.0000 0.0000 0.2999 x6
Ca: 0.0000 0.0000 0.5000 x3
Cr: 0.0000 0.0000 0.0000 x3
Cr: 0.0000 0.0000 0.1997 x6
Cr: 0.0000 0.0000 0.4002 x6
O: 0.0000 0.5000 0.5000 x9
O: 0.0044 0.5022 0.2994 x18
O: 0.0049 0.5024 0.1001 x18

***

Repeat the second record exactly.
The following is a simulated X-ray powder pattern of Li3AlCrO5. It was derived from a DFT-relaxed cell (PBE+U, the Materials Project), using Cu Kα X-rays.
Kinematic intensities with the Lorentz-polarization factor, no thermal factor.

Principal peaks in the range 2θ = 10–90°, in order of falling intensity:
hkl 1 2 0, 4.495 Å, 2θ = 19.75°, I = 100
hkl 0 3 1, 3.642 Å, 2θ = 24.44°, I = 90
hkl 1 5 0, 2.766 Å, 2θ = 32.37°, I = 65
hkl 0 0 2, 2.482 Å, 2θ = 36.20°, I = 56
hkl 1 5 1, 2.417 Å, 2θ = 37.20°, I = 43
hkl 3 5 0, 1.576 Å, 2θ = 58.59°, I = 37
hkl 1 2 1, 3.332 Å, 2θ = 26.76°, I = 34
hkl 2 0 0, 2.711 Å, 2θ = 33.04°, I = 33
hkl 1 1 1, 3.570 Å, 2θ = 24.94°, I = 30
hkl 1 5 3, 1.420 Å, 2θ = 65.77°, I = 27

Cell and atoms:
a b c (Å): 5.4221 16.0781 4.9634
angles (deg): 90.00 90.00 90.00
Space group Pna2_1 (No. 33)
Asymmetric unit:
Li: 0.1624 0.0006 0.0000 x4
Li: 0.1630 0.2004 0.9887 x4
Li: 0.1725 0.6011 0.9969 x4
Al: 0.1719 0.7980 0.9881 x4
Cr: 0.1604 0.4027 0.9973 x4
O: 0.1430 0.2112 0.5840 x4
O: 0.1500 0.6020 0.5951 x4
O: 0.1821 0.8071 0.6270 x4
O: 0.1881 0.9933 0.6009 x4
O: 0.1905 0.3897 0.6242 x4